[1]
For Er4AgHg3, a crystal structure in Alexandria, relaxed with GGA-PBE gives the computed powder X-ray diffraction pattern in this record (Cu Kα (λ = 1.5418 Å)).

Cell and atoms:
a b c (Å): 3.7420 4.7781 11.3666
angles (deg): 90.00 90.00 90.00
Space group Pmm2 (No. 25)
Asymmetric unit:
Er1 0.0000 0.0000 0.0000 [1 per cell]
Er2 0.0000 0.5000 0.2862 [1 per cell]
Er3 0.5000 0.0000 0.4909 [1 per cell]
Er4 0.5000 0.5000 0.7913 [1 per cell]
Ag1 0.5000 0.0000 0.2246 [1 per cell]
Hg1 0.0000 0.0000 0.7296 [1 per cell]
Hg2 0.0000 0.5000 0.5548 [1 per cell]
Hg3 0.5000 0.5000 0.0602 [1 per cell]

Main lines, in order of rising 2θ (2θ = 5–70°):
2theta, intensity, hkl
31.37, 100, 1 1 1
31.48, 28, 0 0 4
33.66, 18, 1 0 3
36.80, 36, 0 1 4
37.65, 36, 0 2 0
38.72, 65, 1 1 3
48.67, 18, 2 0 0
49.87, 16, 0 2 4
62.54, 16, 2 1 4
63.12, 16, 2 2 0

[2]
For Er5AgHg6, a crystal structure in Alexandria, relaxed with GGA-PBE gives the computed powder X-ray diffraction pattern in this record (Cu Kα (λ = 1.5418 Å)).

Cell and atoms:
a b c (Å): 16.2784 7.3716 5.1088
angles (deg): 90.00 108.20 90.00
Space group C2/m (No. 12)
Asymmetric unit:
Er1 0.0000 0.0000 0.0000 [2 per cell]
Er2 0.1577 0.5000 0.6575 [4 per cell]
Er3 0.1702 0.0000 0.6699 [4 per cell]
Ag1 0.0000 0.5000 0.0000 [2 per cell]
Hg1 0.0000 0.2455 0.5000 [4 per cell]
Hg2 0.1651 0.2530 0.1648 [8 per cell]

Main lines, in order of rising 2θ (2θ = 5–70°):
2theta, intensity, hkl
24.53, 2, 2 0 1
34.69, 100, 2 2 1
34.81, 24, 6 0 0
35.13, 24, 2 0 -2
49.46, 9, 0 4 0
50.29, 17, 4 0 2
61.90, 9, 6 4 0
62.11, 9, 2 4 -2
62.33, 18, 8 2 1
62.75, 18, 0 2 3

[3]
For Er4InAgHg2, a crystal structure in Alexandria, relaxed with GGA-PBE gives the computed powder X-ray diffraction pattern in this record (Cu Kα (λ = 1.5418 Å)).

Cell and atoms:
a b c (Å): 5.2025 5.2025 25.5480
angles (deg): 90.00 90.00 120.00
Space group R-3m (No. 166, hexagonal axes)
Asymmetric unit:
Er1 0.0000 0.0000 0.1222 [6 per cell]
Er2 0.0000 0.0000 0.3727 [6 per cell]
In1 0.0000 0.0000 0.5000 [3 per cell]
Ag1 0.0000 0.0000 0.0000 [3 per cell]
Hg1 0.0000 0.0000 0.2500 [6 per cell]

Main lines, in order of rising 2θ (2θ = 5–70°):
2theta, intensity, hkl
20.89, 4, 0 0 6
34.45, 100, 1 1 0
40.64, 2, 1 1 6
49.52, 18, 2 0 8
54.26, 1, 0 1 14
54.35, 1, 1 2 2
61.62, 9, 1 0 16
61.75, 28, 3 0 0
65.94, 1, 3 0 6

[4]
For Ho4ErAg5, a crystal structure in Alexandria, relaxed with GGA-PBE gives the computed powder X-ray diffraction pattern in this record (Cu Kα (λ = 1.5418 Å)).

Cell and atoms:
a b c (Å): 3.5843 3.5843 18.3887
angles (deg): 90.00 90.00 90.00
Space group P4/mmm (No. 123)
Asymmetric unit:
Ho1 0.0000 0.0000 0.1001 [2 per cell]
Ho2 0.0000 0.0000 0.3005 [2 per cell]
Er1 0.0000 0.0000 0.5000 [1 per cell]
Ag1 0.5000 0.5000 0.0000 [1 per cell]
Ag2 0.5000 0.5000 0.2003 [2 per cell]
Ag3 0.5000 0.5000 0.4011 [2 per cell]

Main lines, in order of rising 2θ (2θ = 5–70°):
2theta, intensity, hkl
24.20, 2, 0 0 5
24.84, 4, 1 0 0
34.96, 100, 1 0 5
35.42, 48, 1 1 0
43.36, 2, 1 1 5
49.57, 9, 0 0 10
50.96, 17, 2 0 0
56.22, 1, 1 0 10
62.39, 18, 1 1 10
63.29, 35, 2 1 5

[5]
For Ho3Er2Ag2, a crystal structure in Alexandria, relaxed with GGA-PBE gives the computed powder X-ray diffraction pattern in this record (Cu Kα (λ = 1.5418 Å)).

Cell and atoms:
a b c (Å): 3.5722 3.5722 29.4437
angles (deg): 90.00 90.00 90.00
Space group I4/mmm (No. 139)
Asymmetric unit:
Ho1 0.0000 0.0000 0.0000 [2 per cell]
Ho2 0.0000 0.0000 0.1252 [4 per cell]
Er1 0.0000 0.0000 0.2910 [4 per cell]
Ag1 0.0000 0.0000 0.4378 [4 per cell]

Main lines, in order of rising 2θ (2θ = 5–70°):
2theta, intensity, hkl
29.24, 14, 1 0 5
32.89, 100, 1 0 7
35.54, 52, 1 1 0
36.62, 5, 0 0 12
37.27, 11, 1 0 9
51.14, 18, 2 0 0
51.96, 8, 1 1 12
56.98, 9, 1 1 14
59.30, 5, 1 0 17
62.16, 32, 2 1 7

[6]
For Ho2Er3Ag2, a crystal structure in Alexandria, relaxed with GGA-PBE gives the computed powder X-ray diffraction pattern in this record (Cu Kα (λ = 1.5418 Å)).

Cell and atoms:
a b c (Å): 5.3038 5.3038 22.9005
angles (deg): 90.00 90.00 120.00
Space group R-3m (No. 166, hexagonal axes)
Asymmetric unit:
Ho1 0.0000 0.0000 0.0758 [6 per cell]
Er1 0.0000 0.0000 0.3398 [6 per cell]
Er2 0.0000 0.0000 0.5000 [3 per cell]
Ag1 0.0000 0.0000 0.2127 [6 per cell]

Main lines, in order of rising 2θ (2θ = 5–70°):
2theta, intensity, hkl
27.50, 14, 0 1 5
33.63, 83, 1 0 7
33.80, 100, 1 1 0
44.12, 4, 2 0 5
48.43, 30, 0 2 7
56.71, 4, 1 2 5
59.70, 10, 1 1 12
60.04, 9, 0 1 14
60.36, 31, 2 1 7
60.47, 19, 3 0 0

[7]
For Ho2ErAg6, a crystal structure in Alexandria, relaxed with GGA-PBE gives the computed powder X-ray diffraction pattern in this record (Cu Kα (λ = 1.5418 Å)).

Cell and atoms:
a b c (Å): 13.9903 10.8330 5.2839
angles (deg): 90.00 100.55 90.00
Space group C2/c (No. 15)
Asymmetric unit:
Ho1 0.1666 0.1251 0.0829 [8 per cell]
Er1 0.0000 0.3751 0.2500 [4 per cell]
Ag1 0.0559 0.1257 0.5262 [8 per cell]
Ag2 0.1106 0.3757 0.8066 [8 per cell]
Ag3 0.2219 0.3750 0.3602 [8 per cell]

Main lines, in order of rising 2θ (2θ = 5–70°):
2theta, intensity, hkl
33.08, 58, 0 4 0
34.98, 100, 5 1 -1
37.77, 81, 4 2 1
42.41, 58, 5 3 -1
54.81, 27, 5 5 -1
61.22, 19, 9 1 0
62.20, 18, 4 6 1
63.48, 17, 6 2 -3
66.36, 7, 3 3 3
66.43, 7, 9 3 0

[8]
For Ho2Er3Ag2, a crystal structure in Alexandria, relaxed with GGA-PBE gives the computed powder X-ray diffraction pattern in this record (Cu Kα (λ = 1.5418 Å)).

Cell and atoms:
a b c (Å): 3.5666 3.5666 29.4100
angles (deg): 90.00 90.00 90.00
Space group I4/mmm (No. 139)
Asymmetric unit:
Ho1 0.0000 0.0000 0.2086 [4 per cell]
Er1 0.0000 0.0000 0.3758 [4 per cell]
Er2 0.0000 0.0000 0.5000 [2 per cell]
Ag1 0.0000 0.0000 0.0620 [4 per cell]

Main lines, in order of rising 2θ (2θ = 5–70°):
2theta, intensity, hkl
29.28, 15, 1 0 5
32.94, 100, 1 0 7
35.60, 53, 1 1 0
36.67, 6, 0 0 12
37.32, 13, 1 0 9
51.23, 19, 2 0 0
52.03, 8, 1 1 12
57.06, 8, 1 1 14
59.38, 6, 1 0 17
62.26, 32, 2 1 7

Repeat the seventh record exactly.
For Ho2ErAg6, a crystal structure in Alexandria, relaxed with GGA-PBE gives the computed powder X-ray diffraction pattern in this record (Cu Kα (λ = 1.5418 Å)).

Cell and atoms:
a b c (Å): 13.9903 10.8330 5.2839
angles (deg): 90.00 100.55 90.00
Space group C2/c (No. 15)
Asymmetric unit:
Ho1 0.1666 0.1251 0.0829 [8 per cell]
Er1 0.0000 0.3751 0.2500 [4 per cell]
Ag1 0.0559 0.1257 0.5262 [8 per cell]
Ag2 0.1106 0.3757 0.8066 [8 per cell]
Ag3 0.2219 0.3750 0.3602 [8 per cell]

Main lines, in order of rising 2θ (2θ = 5–70°):
2theta, intensity, hkl
33.08, 58, 0 4 0
34.98, 100, 5 1 -1
37.77, 81, 4 2 1
42.41, 58, 5 3 -1
54.81, 27, 5 5 -1
61.22, 19, 9 1 0
62.20, 18, 4 6 1
63.48, 17, 6 2 -3
66.36, 7, 3 3 3
66.43, 7, 9 3 0

- What is the formula in the third record?
  Er4InAgHg2